Entry 1:
The following is a calculated powder X-ray diffraction pattern of Bi2SbPb6. It was derived from a crystal structure in Alexandria, relaxed with PBE, using Cu Kα X-rays.
Lines closer than 0.1° are merged.

Largest 12 diffraction maxima, low angle first, 2θ from 10° to 90°:
hkl 2 1 -1, 25.87 deg, I 23
hkl 2 0 0, 26.32 deg, I 31
hkl 1 2 0, 28.13 deg, I 33
hkl 1 0 -4, 28.97 deg, I 62
hkl 2 0 -4, 29.32 deg, I 19
hkl 0 2 2, 30.19 deg, I 59
hkl 2 2 -2, 33.34 deg, I 100
hkl 1 2 2, 36.77 deg, I 36
hkl 2 0 2, 38.93 deg, I 28
hkl 3 1 -5, 41.22 deg, I 20
hkl 3 2 -6, 51.69 deg, I 24
hkl 2 2 4, 61.31 deg, I 26

Atomic structure:
Cell: 8.151 7.183 12.587 Å, 90.00 123.84 90.00°
Space group P2_1/c (No. 14)
Symmetry-distinct sites (fractional):
Bi (0.247, 0.047, 0.234) [4 per cell]
Sb (0.500, 0.000, 0.000) [2 per cell]
Pb (0.132, 0.234, 0.937) [4 per cell]
Pb (0.168, 0.704, 0.919) [4 per cell]
Pb (0.307, 0.519, 0.206) [4 per cell]

=====

Entry 2:
The following is a calculated powder X-ray diffraction pattern of SrLaOsAu2. It was derived from a crystal structure in Alexandria, relaxed with PBE, using Cu Kα X-rays.
Lines closer than 0.1° are merged.

Largest 12 diffraction maxima, low angle first, 2θ from 10° to 90°:
hkl 0 0 1, 13.12 deg, I 29
hkl 1 0 1, 21.04 deg, I 35
hkl 0 0 2, 26.42 deg, I 59
hkl 1 1 1, 26.78 deg, I 100
hkl 2 0 0, 33.11 deg, I 67
hkl 2 0 2, 42.84 deg, I 66
hkl 1 1 3, 46.85 deg, I 23
hkl 2 2 0, 47.52 deg, I 25
hkl 2 2 2, 55.19 deg, I 32
hkl 3 1 1, 55.39 deg, I 28
hkl 2 0 4, 65.17 deg, I 19
hkl 4 2 2, 85.19 deg, I 19

Atomic structure:
Cell: 5.412 5.412 6.748 Å, 90.00 90.00 90.00°
Space group P4/mmm (No. 123)
Symmetry-distinct sites (fractional):
Sr (0.000, 0.000, 0.000) [1 per cell]
La (0.000, 0.000, 0.500) [1 per cell]
Os (0.500, 0.500, 0.000) [1 per cell]
Au (0.000, 0.500, 0.500) [2 per cell]

=====

Entry 3:
The following is a calculated powder X-ray diffraction pattern of BaAsAu3. It was derived from a crystal structure in Alexandria, relaxed with PBE, using Cu Kα X-rays.
Lines closer than 0.1° are merged.

Largest 12 diffraction maxima, low angle first, 2θ from 10° to 90°:
hkl 0 0 2, 16.51 deg, I 15
hkl 1 1 2, 31.32 deg, I 100
hkl 2 0 0, 37.75 deg, I 45
hkl 1 1 4, 43.08 deg, I 26
hkl 1 0 5, 46.38 deg, I 10
hkl 2 1 3, 49.79 deg, I 13
hkl 2 2 0, 54.46 deg, I 16
hkl 1 1 6, 58.39 deg, I 7
hkl 2 1 5, 61.28 deg, I 9
hkl 3 1 2, 64.18 deg, I 23
hkl 3 1 4, 71.84 deg, I 12
hkl 2 0 8, 82.48 deg, I 8

Atomic structure:
Cell: 4.766 4.766 10.737 Å, 90.00 90.00 90.00°
Space group I4mm (No. 107)
Symmetry-distinct sites (fractional):
Ba (0.000, 0.000, 0.000) [2 per cell]
As (0.000, 0.000, 0.635) [2 per cell]
Au (0.000, 0.000, 0.392) [2 per cell]
Au (0.000, 0.500, 0.244) [4 per cell]

=====

Entry 4:
The following is a calculated powder X-ray diffraction pattern of Nd4SiBiSe2. It was derived from a crystal structure in Alexandria, relaxed with PBE, using Cu Kα X-rays.
Lines closer than 0.1° are merged.

Largest 12 diffraction maxima, low angle first, 2θ from 10° to 90°:
hkl 1 1 1, 28.99 deg, I 100
hkl 1 1 -3, 41.22 deg, I 25
hkl 2 0 2, 41.41 deg, I 12
hkl 0 2 0, 41.52 deg, I 13
hkl 3 1 -1, 41.68 deg, I 25
hkl 0 0 4, 50.93 deg, I 6
hkl 2 2 -2, 51.42 deg, I 14
hkl 4 0 0, 51.72 deg, I 7
hkl 2 2 2, 60.07 deg, I 12
hkl 0 2 4, 67.72 deg, I 11
hkl 4 2 0, 68.38 deg, I 12
hkl 1 3 -3, 75.59 deg, I 8

Atomic structure:
Cell: 7.497 4.350 7.605 Å, 90.00 109.44 90.00°
Space group P2/m (No. 10)
Symmetry-distinct sites (fractional):
Nd (0.245, 0.000, 0.235) [2 per cell]
Nd (0.253, 0.500, 0.767) [2 per cell]
Si (0.000, 0.500, 0.000) [1 per cell]
Bi (0.000, 0.000, 0.500) [1 per cell]
Se (0.500, 0.000, 0.000) [1 per cell]
Se (0.500, 0.500, 0.500) [1 per cell]

=====

Entry 5:
The following is a calculated powder X-ray diffraction pattern of Ce6InGa2. It was derived from a crystal structure in Alexandria, relaxed with PBE, using Cu Kα X-rays.
Lines closer than 0.1° are merged.

Largest 12 diffraction maxima, low angle first, 2θ from 10° to 90°:
hkl 1 0 1, 29.47 deg, I 19
hkl 1 1 2, 32.72 deg, I 37
hkl 0 0 6, 34.23 deg, I 55
hkl 0 3 3, 34.59 deg, I 100
hkl 1 2 1, 35.78 deg, I 46
hkl 1 1 4, 38.41 deg, I 31
hkl 1 2 5, 45.91 deg, I 16
hkl 1 2 7, 54.53 deg, I 17
hkl 0 3 9, 61.52 deg, I 18
hkl 1 5 4, 64.70 deg, I 13
hkl 2 0 6, 70.83 deg, I 13
hkl 2 3 3, 71.05 deg, I 24

Atomic structure:
Cell: 3.089 8.952 15.719 Å, 90.00 90.00 90.00°
Space group Immm (No. 71)
Symmetry-distinct sites (fractional):
Ce (0.000, 0.163, 0.000) [4 per cell]
Ce (0.000, 0.312, 0.164) [8 per cell]
In (0.000, 0.000, 0.500) [2 per cell]
Ga (0.000, 0.500, 0.341) [4 per cell]

=====

Entry 6:
The following is a calculated powder X-ray diffraction pattern of Sc5BiSe4. It was derived from a crystal structure in Alexandria, relaxed with PBE, using Cu Kα X-rays.
Lines closer than 0.1° are merged.

Largest 12 diffraction maxima, low angle first, 2θ from 10° to 90°:
hkl 0 1 5, 27.61 deg, I 47
hkl 0 2 0, 31.90 deg, I 52
hkl 1 0 5, 32.03 deg, I 100
hkl 1 2 5, 45.82 deg, I 89
hkl 2 0 0, 46.05 deg, I 18
hkl 0 2 10, 56.90 deg, I 17
hkl 2 2 0, 57.11 deg, I 19
hkl 2 0 10, 66.98 deg, I 11
hkl 1 4 5, 75.92 deg, I 22
hkl 2 2 10, 76.10 deg, I 15
hkl 2 4 0, 84.80 deg, I 16
hkl 3 2 5, 85.13 deg, I 12

Atomic structure:
Cell: 3.942 5.611 19.811 Å, 90.00 90.00 90.00°
Space group Immm (No. 71)
Symmetry-distinct sites (fractional):
Sc (0.000, 0.000, 0.000) [2 per cell]
Sc (0.000, 0.000, 0.198) [4 per cell]
Sc (0.000, 0.000, 0.389) [4 per cell]
Bi (0.000, 0.500, 0.000) [2 per cell]
Se (0.000, 0.500, 0.205) [4 per cell]
Se (0.000, 0.500, 0.399) [4 per cell]